Diffraction record for Li12AgRh2. The powder diffractogram is theoretical, not measured: it uses a DFT-relaxed cell (GGA-PBE, Alexandria) and λ = 1.5418 Å (Cu Kα).

Top 6 peaks for 10 to 90 degrees two-theta, sorted by position:
index, two_theta, Rel. int.
0 0 3, 12.46, 51
0 0 4, 16.64, 97
0 2 0, 19.66, 100
0 2 4, 25.86, 60
2 2 0, 40.20, 34
2 2 4, 43.79, 40

Cell and atoms:
Unit cell a=5.1684 b=9.0332 c=21.3052 alpha=90.00 beta=90.00 gamma=90.00
Space group Cmme (No. 67)
Unique sites:
Li1 0.0000 0.0652 0.0618 (multiplicity 8)
Li2 0.0000 0.0962 0.5407 (multiplicity 8)
Li3 0.2318 0.2500 0.3727 (multiplicity 8)
Li4 0.2396 0.2500 0.8476 (multiplicity 8)
Li5 0.2500 0.0000 0.2084 (multiplicity 8)
Li6 0.2500 0.0000 0.3191 (multiplicity 8)
Ag1 0.0000 0.2500 0.9618 (multiplicity 4)
Rh1 0.0000 0.2500 0.2615 (multiplicity 4)
Rh2 0.0000 0.2500 0.7344 (multiplicity 4)

Diffraction record for ZrCdC. The powder diffractogram is theoretical, not measured: it uses a DFT-relaxed cell (GGA-PBE, Alexandria) and λ = 1.5418 Å (Cu Kα).

Top 6 peaks for 10 to 90 degrees two-theta, sorted by position:
index, two_theta, Rel. int.
0 1 2, 27.48, 51
0 1 5, 31.53, 100
1 0 7, 35.65, 54
1 0 10, 43.28, 24
1 1 0, 47.05, 51
1 1 12, 63.72, 34

Cell and atoms:
Unit cell a=3.8628 b=3.8628 c=26.7811 alpha=90.00 beta=90.00 gamma=120.00
Space group R-3m (No. 166, hexagonal axes)
Unique sites:
Zr1 0.0000 0.0000 0.1237 (multiplicity 6)
Cd1 0.0000 0.0000 0.2985 (multiplicity 6)
C1 0.0000 0.0000 0.2060 (multiplicity 6)

Diffraction record for MgRhW2. The powder diffractogram is theoretical, not measured: it uses a DFT-relaxed cell (GGA-PBE, Alexandria) and λ = 1.5418 Å (Cu Kα).

Top 6 peaks for 10 to 90 degrees two-theta, sorted by position:
index, two_theta, Rel. int.
0 0 1, 14.18, 50
1 0 1, 31.33, 18
1 1 0, 39.70, 54
1 0 2, 40.29, 100
2 0 0, 57.40, 18
2 1 2, 72.44, 36

Cell and atoms:
Unit cell a=3.2108 b=3.2108 c=6.2455 alpha=90.00 beta=90.00 gamma=90.00
Space group P4mm (No. 99)
Unique sites:
Mg1 0.0000 0.0000 0.0000 (multiplicity 1)
Rh1 0.5000 0.5000 0.2320 (multiplicity 1)
W1 0.0000 0.0000 0.5010 (multiplicity 1)
W2 0.5000 0.5000 0.7166 (multiplicity 1)

Diffraction record for IrPt6Rh8. The powder diffractogram is theoretical, not measured: it uses a DFT-relaxed cell (GGA-PBE, Alexandria) and λ = 1.5418 Å (Cu Kα).

Top 6 peaks for 10 to 90 degrees two-theta, sorted by position:
index, two_theta, Rel. int.
2 -2 0, 38.80, 40
0 0 3, 41.28, 76
2 -2 1, 42.70, 49
2 1 -3, 42.99, 100
2 1 0, 44.75, 44
0 3 -3, 45.30, 44

Cell and atoms:
Unit cell a=5.4075 b=7.1019 c=7.7141 alpha=109.36 beta=109.87 gamma=100.67
Space group P-1 (No. 2)
Unique sites:
Ir1 0.0000 0.0000 0.0000 (multiplicity 1)
Pt1 0.2314 0.6277 0.6676 (multiplicity 2)
Pt2 0.3338 0.3204 0.9936 (multiplicity 2)
Pt3 0.4243 0.0311 0.3260 (multiplicity 2)
Rh1 0.0780 0.9629 0.6637 (multiplicity 2)
Rh2 0.1615 0.6659 0.0033 (multiplicity 2)
Rh3 0.2616 0.3755 0.3321 (multiplicity 2)
Rh4 0.4061 0.2971 0.6651 (multiplicity 2)